Diffraction record for NdSmY2Er. The powder diffractogram is computed, not measured: it uses a GGA-PBE-relaxed structure and Cu Ka.
Intensities are scaled so that the largest is 100.

Most intense lines, 10 to 80 degrees two-theta, by angle:
(hkl), d/Å, I_rel
2 0 0, 4.234, 39
2 2 0, 3.413, 33
1 1 2, 3.188, 21
0 2 2, 3.057, 34
0 4 0, 2.883, 47
2 0 2, 2.745, 100
1 3 2, 2.511, 46
3 3 0, 2.275, 28
2 4 2, 1.988, 55
3 7 0, 1.423, 23

a = 8.468 Å, b = 11.532 Å, c = 7.211 Å
α = 90.00°, β = 90.00°, γ = 90.00°
Space group Cmcm (No. 63)
Asymmetric unit:
Nd 0.000 0.229 0.250 (multiplicity 4)
Sm 0.000 0.496 0.250 (multiplicity 4)
Y 0.188 0.000 0.000 (multiplicity 8)
Er 0.000 0.224 0.750 (multiplicity 4)